Record 1
Diffraction record for DyAl11Ni. The X-ray diffraction stick pattern is computed, not measured: it uses the PBE geometry in Alexandria and CuKα.

Structure:
```
DyAl11Ni
1.0
2.568 -6.271 0.000
2.568 6.271 0.000
-2.252 0.000 6.827
Dy Al Ni
1 11 1
direct
0.000 0.000 0.000
0.000 0.000 0.500
0.000 0.500 0.000
0.008 0.356 0.359
0.287 0.501 0.771
0.356 0.008 0.359
0.499 0.713 0.229
0.500 0.000 0.000
0.501 0.287 0.771
0.644 0.992 0.641
0.713 0.499 0.229
0.992 0.644 0.641
0.500 0.500 0.500
```

The 12 most intense peaks (10° ≤ 2θ ≤ 80°), by intensity:
2θ (°)  I (rel.)
40.74  100
39.01  88
14.12  78
20.06  72
39.65  71
33.47  63
28.48  60
26.54  55
38.73  53
29.80  39
37.28  35
34.44  30



Record 2
Diffraction record for Dy2Al5Ni3. The X-ray diffraction stick pattern is computed, not measured: it uses the PBE geometry in Alexandria and CuKα.

Structure:
```
Dy2Al5Ni3
1.0
2.070 -12.298 0.000
2.070 12.298 0.000
0.000 0.000 6.546
Dy Al Ni
4 10 6
direct
0.022 0.978 0.500
0.325 0.675 0.552
0.675 0.325 0.052
0.978 0.022 0.000
0.099 0.901 0.865
0.208 0.792 0.362
0.213 0.787 0.760
0.371 0.629 0.028
0.444 0.556 0.671
0.556 0.444 0.171
0.629 0.371 0.528
0.787 0.213 0.260
0.792 0.208 0.862
0.901 0.099 0.365
0.110 0.890 0.250
0.272 0.728 0.063
0.451 0.549 0.285
0.549 0.451 0.785
0.728 0.272 0.563
0.890 0.110 0.750
```

The 12 most intense peaks (10° ≤ 2θ ≤ 80°), by intensity:
2θ (°)  I (rel.)
36.68  100
36.23  78
24.08  38
39.12  37
43.73  36
35.10  32
39.53  29
19.81  27
25.68  22
60.11  21
75.41  15
15.33  14



Record 3
Diffraction record for Dy3AlNi. The X-ray diffraction stick pattern is computed, not measured: it uses the PBE geometry in Alexandria and CuKα.

Structure:
```
Dy3AlNi
1.0
4.783 -3.247 0.000
4.783 3.247 0.000
-4.032 0.000 7.740
Dy Al Ni
6 2 2
direct
0.040 0.040 0.246
0.297 0.297 0.679
0.313 0.313 0.117
0.687 0.687 0.883
0.703 0.703 0.321
0.960 0.960 0.754
0.302 0.698 0.500
0.698 0.302 0.500
0.295 0.705 0.000
0.705 0.295 0.000
```

The 12 most intense peaks (10° ≤ 2θ ≤ 80°), by intensity:
2θ (°)  I (rel.)
32.60  100
36.07  87
27.47  69
32.41  63
34.59  61
53.29  29
31.40  27
11.43  26
41.38  26
42.01  24
61.24  18
34.79  17



Record 4
Diffraction record for DyNpAl6. The X-ray diffraction stick pattern is computed, not measured: it uses the PBE geometry in Alexandria and CuKα.

Structure:
```
DyNpAl6
1.0
6.169 0.000 0.000
-3.084 5.343 0.000
0.000 0.000 4.681
Dy Np Al
1 1 6
direct
0.000 0.000 0.000
0.333 0.667 0.500
0.364 0.182 0.500
0.513 0.026 0.000
0.513 0.487 0.000
0.818 0.182 0.500
0.818 0.636 0.500
0.974 0.487 0.000
```

The 12 most intense peaks (10° ≤ 2θ ≤ 80°), by intensity:
2θ (°)  I (rel.)
25.30  100
38.81  82
28.95  45
16.59  37
49.14  29
48.84  22
33.55  21
38.46  19
73.54  16
66.15  16
59.98  15
69.80  15



Record 5
Diffraction record for Rb3DyAl2O6. The X-ray diffraction stick pattern is computed, not measured: it uses the PBE geometry in Alexandria and CuKα.

Structure:
```
Rb3DyAl2O6
1.0
6.104 0.000 0.000
-3.052 5.287 0.000
0.000 0.000 7.365
Rb Dy Al O
3 1 2 6
direct
0.000 0.000 0.000
0.333 0.667 0.752
0.667 0.333 0.248
0.000 0.000 0.500
0.333 0.667 0.308
0.667 0.333 0.692
0.172 0.343 0.307
0.172 0.828 0.307
0.343 0.172 0.693
0.657 0.828 0.307
0.828 0.172 0.693
0.828 0.657 0.693
```

The 12 most intense peaks (10° ≤ 2θ ≤ 80°), by intensity:
2θ (°)  I (rel.)
29.56  100
29.26  82
42.08  47
52.07  39
16.77  34
58.54  21
20.68  20
12.02  19
36.10  18
68.93  18
51.89  17
60.68  16



Record 6
Diffraction record for DyAlZnO4. The X-ray diffraction stick pattern is computed, not measured: it uses the PBE geometry in Alexandria and CuKα.

Structure:
```
DyAlZnO4
1.0
-3.023 3.244 4.375
3.023 -3.244 4.375
3.023 3.244 -4.375
Dy Al Zn O
2 2 2 8
direct
0.000 0.000 0.000
0.500 0.000 0.500
0.500 0.000 0.000
0.500 0.500 0.500
0.135 0.385 0.750
0.865 0.615 0.250
0.278 0.275 0.497
0.278 0.782 0.003
0.286 0.745 0.541
0.296 0.255 0.041
0.704 0.745 0.959
0.714 0.255 0.459
0.722 0.218 0.997
0.722 0.725 0.503
```

The 12 most intense peaks (10° ≤ 2θ ≤ 80°), by intensity:
2θ (°)  I (rel.)
32.97  100
17.83  56
34.13  42
54.61  37
59.43  36
20.30  35
29.55  31
40.80  19
28.70  16
36.11  15
44.37  15
45.98  14



Record 7
Diffraction record for Dy4AlOs. The X-ray diffraction stick pattern is computed, not measured: it uses the PBE geometry in Alexandria and CuKα.

Structure:
```
Dy4AlOs
1.0
4.294 -6.477 0.000
4.294 6.477 0.000
-1.884 0.000 5.793
Dy Al Os
8 2 2
direct
0.062 0.720 0.952
0.211 0.359 0.610
0.280 0.938 0.548
0.359 0.211 0.110
0.641 0.789 0.890
0.720 0.062 0.452
0.789 0.641 0.390
0.938 0.280 0.048
0.375 0.625 0.250
0.625 0.375 0.750
0.001 0.999 0.750
0.999 0.001 0.250
```

The 12 most intense peaks (10° ≤ 2θ ≤ 80°), by intensity:
2θ (°)  I (rel.)
12.81  100
33.50  59
32.46  44
36.12  39
13.67  36
34.83  34
38.31  32
26.03  30
36.65  28
36.38  28
41.81  25
47.64  23



Record 8
Diffraction record for Dy4Al16Os3. The X-ray diffraction stick pattern is computed, not measured: it uses the PBE geometry in Alexandria and CuKα.

Structure:
```
Dy4Al16Os3
1.0
6.139 0.000 0.000
0.000 6.139 0.000
0.000 0.000 11.316
Dy Al Os
4 16 3
direct
0.000 0.500 0.190
0.000 0.500 0.810
0.500 0.000 0.190
0.500 0.000 0.810
0.000 0.000 0.194
0.000 0.000 0.806
0.217 0.217 0.000
0.217 0.783 0.000
0.252 0.252 0.382
0.252 0.252 0.618
0.252 0.748 0.382
0.252 0.748 0.618
0.500 0.500 0.218
0.500 0.500 0.782
0.748 0.252 0.382
0.748 0.252 0.618
0.748 0.748 0.382
0.748 0.748 0.618
0.783 0.217 0.000
0.783 0.783 0.000
0.000 0.500 0.500
0.500 0.000 0.500
0.500 0.500 0.000
```

The 12 most intense peaks (10° ≤ 2θ ≤ 80°), by intensity:
2θ (°)  I (rel.)
31.42  100
20.46  64
37.79  62
41.61  54
29.09  53
53.05  45
21.93  28
43.50  21
60.30  18
73.40  17
23.59  16
46.79  16



Record 9
Diffraction record for DyAlPbS4. The X-ray diffraction stick pattern is computed, not measured: it uses the PBE geometry in Alexandria and CuKα.

Structure:
```
DyAlPbS4
1.0
6.539 0.000 0.000
0.000 6.665 0.000
-2.325 0.000 7.648
Dy Al Pb S
2 2 2 8
direct
0.220 0.250 0.055
0.780 0.750 0.945
0.240 0.750 0.818
0.760 0.250 0.182
0.255 0.250 0.568
0.745 0.750 0.432
0.004 0.004 0.773
0.004 0.496 0.773
0.444 0.750 0.639
0.450 0.750 0.094
0.550 0.250 0.906
0.556 0.250 0.361
0.996 0.504 0.227
0.996 0.996 0.227
```

The 12 most intense peaks (10° ≤ 2θ ≤ 80°), by intensity:
2θ (°)  I (rel.)
19.46  100
26.75  38
34.08  36
33.62  33
39.51  28
35.88  25
35.74  22
26.88  21
27.06  18
30.74  18
45.58  16
31.24  15



Record 10
Diffraction record for Dy3Al9Pd2. The X-ray diffraction stick pattern is computed, not measured: it uses the PBE geometry in Alexandria and CuKα.

Structure:
```
Dy3Al9Pd2
1.0
-2.156 4.905 6.218
2.156 -4.905 6.218
2.156 4.905 -6.218
Dy Al Pd
3 9 2
direct
0.000 0.000 0.000
0.302 0.302 0.000
0.698 0.698 0.000
0.022 0.655 0.367
0.150 0.868 0.282
0.289 0.655 0.633
0.414 0.132 0.282
0.500 0.000 0.500
0.586 0.868 0.718
0.711 0.345 0.367
0.850 0.132 0.718
0.978 0.345 0.633
0.306 0.500 0.806
0.694 0.500 0.194
```

The 12 most intense peaks (10° ≤ 2θ ≤ 80°), by intensity:
2θ (°)  I (rel.)
35.17  100
22.52  61
34.95  42
41.91  41
36.80  25
55.67  22
37.42  22
23.30  22
34.42  19
23.10  15
51.15  15
18.09  14



Record 11
Diffraction record for DyAlPd5. The X-ray diffraction stick pattern is computed, not measured: it uses the PBE geometry in Alexandria and CuKα.

Structure:
```
DyAlPd5
1.0
4.133 0.000 0.000
0.000 4.133 0.000
0.000 0.000 7.032
Dy Al Pd
1 1 5
direct
0.000 0.000 0.000
0.500 0.500 0.500
0.000 0.500 0.293
0.000 0.500 0.707
0.500 0.000 0.293
0.500 0.000 0.707
0.500 0.500 0.000
```

The 12 most intense peaks (10° ≤ 2θ ≤ 80°), by intensity:
2θ (°)  I (rel.)
40.12  100
33.19  49
43.80  46
77.99  28
59.64  21
38.40  20
74.94  15
63.68  15
12.59  14
70.30  10
76.88  10
73.73  9



Record 12
Diffraction record for DyAl7Pd5. The X-ray diffraction stick pattern is computed, not measured: it uses the PBE geometry in Alexandria and CuKα.

Structure:
```
DyAl7Pd5
1.0
-2.707 4.542 4.344
2.707 -4.542 4.344
2.707 4.542 -4.344
Dy Al Pd
1 7 5
direct
0.000 0.000 0.000
0.218 0.509 0.709
0.333 0.984 0.348
0.342 0.342 0.000
0.636 0.984 0.652
0.643 0.643 0.000
0.769 0.269 0.500
0.800 0.509 0.291
0.219 0.719 0.500
0.520 0.003 0.020
0.520 0.501 0.517
0.984 0.003 0.483
0.984 0.501 0.980
```

The 12 most intense peaks (10° ≤ 2θ ≤ 80°), by intensity:
2θ (°)  I (rel.)
38.72  100
28.43  65
39.21  60
44.17  60
20.44  51
39.69  49
28.11  48
39.93  47
41.57  47
14.11  44
58.11  41
40.52  36